# NdMnClO2
Theoretical XRD peak list, a wavelength of 1.5418 Å. Input: a DFT-relaxed cell (PBE+U, Alexandria).
Peak positions follow from Bragg's law for the DFT cell and can differ from measured ones.

Principal peaks in the range 5° ≤ 2θ ≤ 70°, by intensity:
(1 1 0), 2θ 25.59, intensity 100
(2 0 1), 2θ 31.34, intensity 67
(1 0 0), 2θ 13.85, intensity 65
(0 0 1), 2θ 11.24, intensity 63
(1 0 -2), 2θ 25.20, intensity 51
(1 0 -3), 2θ 35.47, intensity 36
(2 0 2), 2θ 38.26, intensity 33
(2 1 -1), 2θ 36.27, intensity 32
(1 0 1), 2θ 18.84, intensity 28
(0 2 0), 2θ 43.62, intensity 28

Cell and atoms:
```
data_NdMnClO2
_chemical_formula_sum 'Nd2 Mn2 Cl2 O4'
_cell_length_a 6.436
_cell_length_b 4.150
_cell_length_c 7.920
_cell_angle_alpha 90.00
_cell_angle_beta 96.49
_cell_angle_gamma 90.00
_symmetry_space_group_name_H-M 'P 1 21/m 1'
_symmetry_Int_Tables_number 11
_symmetry_space_group_name_Hall '-P 2yb'
loop_
_atom_site_label
_atom_site_type_symbol
_atom_site_fract_x
_atom_site_fract_y
_atom_site_fract_z
Nd1 Nd 0.200 0.250 0.126
Mn1 Mn 0.064 0.250 0.639
Cl1 Cl 0.449 0.250 0.799
O1 O 0.041 0.750 0.116
O2 O 0.058 0.250 0.376
```